1.
Starting from a DFT-relaxed cell (GGA-PBE, Alexandria), the powder diffraction line list of PaRe2BrO8 was calculated for Cu Ka.
Peak positions follow from Bragg's law for the DFT cell and can differ from measured ones.

Structural model:
Cell lengths 6.645, 6.645, 6.056 Å; angles 90.00, 90.00, 120.00 degrees
Positions (direct):
Pa  0.000  0.000  0.000
Re  0.333  0.667  0.767
Re  0.667  0.333  0.233
Br  0.000  0.000  0.500
O  0.187  0.374  0.871
O  0.187  0.813  0.871
O  0.333  0.667  0.481
O  0.374  0.187  0.129
O  0.626  0.813  0.871
O  0.667  0.333  0.519
O  0.813  0.187  0.129
O  0.813  0.626  0.129

Main lines, in order of falling intensity (2θ from 10° to 80°):
two_theta  I/Imax
21.3  100
26.8  96
33.4  55
51.7  32
44.2  29
43.4  26
47.4  20
55.3  17
34.5  17
66.2  16

=====

2.
Starting from a DFT-relaxed cell (GGA-PBE, Alexandria), the powder diffraction line list of Tb6Te3PbSe2 was calculated for Cu Ka.
Peak positions follow from Bragg's law for the DFT cell and can differ from measured ones.

Structural model:
Cell lengths 9.670, 9.670, 8.646 Å; angles 103.87, 103.87, 25.60 degrees
Positions (direct):
Tb  0.009  0.009  0.251
Tb  0.325  0.325  0.432
Tb  0.333  0.333  0.892
Tb  0.667  0.667  0.108
Tb  0.675  0.675  0.568
Tb  0.991  0.991  0.749
Te  0.164  0.164  0.832
Te  0.500  0.500  0.500
Te  0.836  0.836  0.168
Pb  0.500  0.500  0.000
Se  0.168  0.168  0.336
Se  0.832  0.832  0.664

Main lines, in order of falling intensity (2θ from 10° to 80°):
two_theta  I/Imax
29.3  100
42.2  38
41.7  24
69.3  16
52.2  13
41.8  12
60.9  11
76.8  8
52.3  6
51.4  6

=====

3.
Starting from a DFT-relaxed cell (GGA-PBE, Alexandria), the powder diffraction line list of K2NpInCl8 was calculated for Cu Ka.
Peak positions follow from Bragg's law for the DFT cell and can differ from measured ones.

Structural model:
Cell lengths 8.375, 8.375, 8.375 Å; angles 130.08, 130.08, 73.28 degrees
Positions (direct):
K  0.000  0.000  0.000
K  0.750  0.250  0.500
Np  0.250  0.750  0.500
In  0.500  0.500  0.000
Cl  0.152  0.108  0.518
Cl  0.152  0.634  0.043
Cl  0.366  0.410  0.518
Cl  0.366  0.848  0.957
Cl  0.590  0.108  0.957
Cl  0.590  0.634  0.482
Cl  0.892  0.410  0.043
Cl  0.892  0.848  0.482

Main lines, in order of falling intensity (2θ from 10° to 80°):
two_theta  I/Imax
22.2  100
14.2  80
36.9  71
35.9  37
42.6  35
44.3  26
65.2  21
34.7  19
29.0  16
58.3  15

=====

4.
Starting from a DFT-relaxed cell (GGA-PBE, Alexandria), the powder diffraction line list of Tb4NdS4 was calculated for Cu Ka.
Peak positions follow from Bragg's law for the DFT cell and can differ from measured ones.

Structural model:
Cell lengths 6.841, 6.841, 9.587 Å; angles 118.37, 118.37, 33.42 degrees
Positions (direct):
Tb  0.099  0.099  0.395
Tb  0.295  0.295  0.201
Tb  0.705  0.705  0.799
Tb  0.901  0.901  0.605
Nd  0.500  0.500  0.000
S  0.106  0.106  0.896
S  0.297  0.297  0.691
S  0.703  0.703  0.309
S  0.894  0.894  0.104

Main lines, in order of falling intensity (2θ from 10° to 80°):
two_theta  I/Imax
27.9  100
32.2  93
46.1  67
32.3  46
27.7  34
46.4  33
54.8  21
57.5  17
54.7  16
76.6  15

=====

5.
Starting from a DFT-relaxed cell (GGA-PBE, Alexandria), the powder diffraction line list of Tb12Fe6Hg was calculated for Cu Ka.
Peak positions follow from Bragg's law for the DFT cell and can differ from measured ones.

Structural model:
Cell lengths 8.413, 8.413, 8.413 Å; angles 109.47, 109.47, 109.47 degrees
Positions (direct):
Tb  0.103  0.805  0.298
Tb  0.195  0.298  0.494
Tb  0.195  0.702  0.897
Tb  0.298  0.103  0.805
Tb  0.298  0.494  0.195
Tb  0.494  0.195  0.298
Tb  0.506  0.805  0.702
Tb  0.702  0.506  0.805
Tb  0.702  0.897  0.195
Tb  0.805  0.298  0.103
Tb  0.805  0.702  0.506
Tb  0.897  0.195  0.702
Fe  0.109  0.609  0.500
Fe  0.391  0.500  0.891
Fe  0.500  0.109  0.609
Fe  0.500  0.891  0.391
Fe  0.609  0.500  0.109
Fe  0.891  0.391  0.500
Hg  0.000  0.000  0.000

Main lines, in order of falling intensity (2θ from 10° to 80°):
two_theta  I/Imax
34.5  100
31.9  68
29.1  45
58.6  41
55.1  38
37.0  27
47.7  24
68.3  24
71.3  11
56.9  10

=====

6.
Starting from a DFT-relaxed cell (GGA-PBE, Alexandria), the powder diffraction line list of Gd2Si2O7 was calculated for Cu Ka.
Peak positions follow from Bragg's law for the DFT cell and can differ from measured ones.

Structural model:
Cell lengths 6.622, 6.746, 12.730 Å; angles 90.00, 108.17, 90.00 degrees
Positions (direct):
Gd  0.028  0.111  0.363
Gd  0.028  0.389  0.863
Gd  0.342  0.170  0.151
Gd  0.342  0.330  0.651
Gd  0.658  0.670  0.349
Gd  0.658  0.830  0.849
Gd  0.972  0.611  0.137
Gd  0.972  0.889  0.637
Si  0.212  0.582  0.389
Si  0.212  0.918  0.889
Si  0.397  0.671  0.086
Si  0.397  0.829  0.586
Si  0.603  0.171  0.414
Si  0.603  0.329  0.914
Si  0.788  0.082  0.111
Si  0.788  0.418  0.611
O  0.002  0.724  0.332
O  0.002  0.776  0.832
O  0.164  0.105  0.957
O  0.164  0.395  0.457
O  0.225  0.015  0.550
O  0.225  0.485  0.050
O  0.283  0.670  0.646
O  0.283  0.830  0.146
O  0.302  0.519  0.288
O  0.302  0.981  0.788
O  0.372  0.095  0.339
O  0.372  0.405  0.839
O  0.408  0.723  0.469
O  0.408  0.777  0.969
O  0.592  0.223  0.031
O  0.592  0.277  0.531
O  0.628  0.595  0.161
O  0.628  0.905  0.661
O  0.698  0.019  0.212
O  0.698  0.481  0.712
O  0.717  0.170  0.854
O  0.717  0.330  0.354
O  0.775  0.515  0.950
O  0.775  0.985  0.450
O  0.836  0.605  0.543
O  0.836  0.895  0.043
O  0.998  0.224  0.168
O  0.998  0.276  0.668

Main lines, in order of falling intensity (2θ from 10° to 80°):
two_theta  I/Imax
27.5  100
29.5  60
26.9  49
30.7  46
46.2  40
27.6  36
22.2  33
30.1  32
19.3  29
31.5  27

=====

7.
Starting from a DFT-relaxed cell (GGA-PBE, Alexandria), the powder diffraction line list of Li2La3Pt3 was calculated for Cu Ka.
Peak positions follow from Bragg's law for the DFT cell and can differ from measured ones.

Structural model:
Cell lengths 8.820, 8.820, 5.859 Å; angles 90.00, 90.00, 120.00 degrees
Positions (direct):
Li  0.333  0.667  0.000
Li  0.333  0.667  0.500
Li  0.667  0.333  0.000
Li  0.667  0.333  0.500
La  0.000  0.295  0.250
La  0.000  0.705  0.750
La  0.295  0.000  0.250
La  0.295  0.295  0.750
La  0.705  0.000  0.750
La  0.705  0.705  0.250
Pt  0.000  0.372  0.750
Pt  0.000  0.628  0.250
Pt  0.372  0.000  0.750
Pt  0.372  0.372  0.250
Pt  0.628  0.000  0.250
Pt  0.628  0.628  0.750

Main lines, in order of falling intensity (2θ from 10° to 80°):
two_theta  I/Imax
20.1  100
35.2  82
47.3  69
30.5  55
34.6  54
36.8  48
45.5  26
66.7  23
74.8  19
70.5  15

=====

8.
Starting from a DFT-relaxed cell (GGA-PBE, Alexandria), the powder diffraction line list of CaPm3Dy8 was calculated for Cu Ka.
Peak positions follow from Bragg's law for the DFT cell and can differ from measured ones.

Structural model:
Cell lengths 8.541, 8.541, 8.541 Å; angles 100.06, 95.73, 136.51 degrees
Positions (direct):
Ca  0.000  0.000  0.000
Pm  0.407  0.659  0.749
Pm  0.498  0.998  0.500
Pm  0.910  0.659  0.251
Dy  0.422  0.339  0.424
Dy  0.422  0.999  0.083
Dy  0.499  0.329  0.830
Dy  0.499  0.668  0.170
Dy  0.916  0.339  0.917
Dy  0.916  0.999  0.576
Dy  0.996  0.332  0.335
Dy  0.996  0.661  0.665

Main lines, in order of falling intensity (2θ from 10° to 80°):
two_theta  I/Imax
32.3  100
31.2  24
28.2  24
60.0  22
56.3  21
49.9  20
60.7  16
42.6  16
78.5  8
67.6  4

=====

9.
Starting from a DFT-relaxed cell (GGA-PBE, Alexandria), the powder diffraction line list of Tb3Tm8Sc3 was calculated for Cu Ka.
Peak positions follow from Bragg's law for the DFT cell and can differ from measured ones.

Structural model:
Cell lengths 10.112, 10.112, 10.112 Å; angles 149.50, 123.90, 65.20 degrees
Positions (direct):
Tb  0.000  0.000  0.000
Tb  0.258  0.500  0.758
Tb  0.742  0.500  0.242
Tm  0.120  0.877  0.243
Tm  0.140  0.298  0.842
Tm  0.365  0.123  0.243
Tm  0.456  0.298  0.158
Tm  0.544  0.702  0.842
Tm  0.635  0.877  0.757
Tm  0.860  0.702  0.158
Tm  0.880  0.123  0.757
Sc  0.168  0.668  0.500
Sc  0.500  0.000  0.500
Sc  0.832  0.332  0.500

Main lines, in order of falling intensity (2θ from 10° to 80°):
two_theta  I/Imax
36.6  100
31.2  89
29.7  80
18.7  79
33.7  77
38.8  50
34.6  32
19.1  30
63.4  30
32.9  26

=====

10.
Starting from a DFT-relaxed cell (GGA-PBE, Alexandria), the powder diffraction line list of Al3Ag5 was calculated for Cu Ka.
Peak positions follow from Bragg's law for the DFT cell and can differ from measured ones.

Structural model:
Cell lengths 5.006, 5.053, 5.746 Å; angles 72.46, 89.66, 79.50 degrees
Positions (direct):
Al  0.000  0.000  0.000
Al  0.244  0.500  0.860
Al  0.756  0.500  0.140
Ag  0.000  0.000  0.500
Ag  0.250  0.518  0.354
Ag  0.491  0.982  0.762
Ag  0.509  0.018  0.238
Ag  0.750  0.482  0.646

Main lines, in order of falling intensity (2θ from 10° to 80°):
two_theta  I/Imax
44.7  100
37.9  87
38.3  81
38.0  81
38.5  79
43.8  55
16.2  48
25.0  31
31.4  30
76.4  19

=====

11.
Starting from a DFT-relaxed cell (GGA-PBE, Alexandria), the powder diffraction line list of BeH8SO8 was calculated for Cu Ka.
Peak positions follow from Bragg's law for the DFT cell and can differ from measured ones.

Structural model:
Cell lengths 7.941, 7.941, 7.941 Å; angles 119.94, 119.94, 90.11 degrees
Positions (direct):
Be  0.000  0.000  0.000
Be  0.500  0.500  0.000
H  0.011  0.670  0.909
H  0.080  0.886  0.731
H  0.114  0.845  0.193
H  0.151  0.345  0.731
H  0.155  0.349  0.269
H  0.261  0.170  0.659
H  0.330  0.239  0.341
H  0.398  0.739  0.909
H  0.511  0.602  0.341
H  0.580  0.849  0.193
H  0.614  0.420  0.269
H  0.651  0.920  0.807
H  0.655  0.386  0.807
H  0.761  0.102  0.091
H  0.830  0.489  0.091
H  0.898  0.989  0.659
S  0.250  0.750  0.500
S  0.750  0.250  0.500
O  0.063  0.821  0.036
O  0.088  0.546  0.285
O  0.179  0.216  0.243
O  0.197  0.912  0.458
O  0.261  0.803  0.715
O  0.284  0.321  0.757
O  0.454  0.739  0.542
O  0.473  0.716  0.036
O  0.563  0.527  0.243
O  0.588  0.303  0.542
O  0.679  0.437  0.964
O  0.697  0.239  0.285
O  0.761  0.046  0.458
O  0.784  0.027  0.964
O  0.954  0.412  0.715
O  0.973  0.937  0.757

Main lines, in order of falling intensity (2θ from 10° to 80°):
two_theta  I/Imax
22.4  100
34.8  26
15.8  17
47.9  14
27.5  14
26.3  10
61.8  9
35.7  9
41.8  8
45.7  6

=====

12.
Starting from a DFT-relaxed cell (GGA-PBE, Alexandria), the powder diffraction line list of NaTe2 was calculated for Cu Ka.
Peak positions follow from Bragg's law for the DFT cell and can differ from measured ones.

Structural model:
Cell lengths 6.586, 6.586, 6.586 Å; angles 60.00, 60.00, 60.00 degrees
Positions (direct):
Na  0.125  0.125  0.125
Na  0.875  0.875  0.875
Te  0.000  0.500  0.500
Te  0.500  0.000  0.500
Te  0.500  0.500  0.000
Te  0.500  0.500  0.500

Main lines, in order of falling intensity (2θ from 10° to 80°):
two_theta  I/Imax
31.9  100
16.5  95
33.3  91
55.8  37
38.7  37
66.6  36
50.9  35
42.3  26
79.0  21
58.6  20

=====

Please write out number 5 again, unchanged.
Starting from a DFT-relaxed cell (GGA-PBE, Alexandria), the powder diffraction line list of Tb12Fe6Hg was calculated for Cu Ka.
Peak positions follow from Bragg's law for the DFT cell and can differ from measured ones.

Structural model:
Cell lengths 8.413, 8.413, 8.413 Å; angles 109.47, 109.47, 109.47 degrees
Positions (direct):
Tb  0.103  0.805  0.298
Tb  0.195  0.298  0.494
Tb  0.195  0.702  0.897
Tb  0.298  0.103  0.805
Tb  0.298  0.494  0.195
Tb  0.494  0.195  0.298
Tb  0.506  0.805  0.702
Tb  0.702  0.506  0.805
Tb  0.702  0.897  0.195
Tb  0.805  0.298  0.103
Tb  0.805  0.702  0.506
Tb  0.897  0.195  0.702
Fe  0.109  0.609  0.500
Fe  0.391  0.500  0.891
Fe  0.500  0.109  0.609
Fe  0.500  0.891  0.391
Fe  0.609  0.500  0.109
Fe  0.891  0.391  0.500
Hg  0.000  0.000  0.000

Main lines, in order of falling intensity (2θ from 10° to 80°):
two_theta  I/Imax
34.5  100
31.9  68
29.1  45
58.6  41
55.1  38
37.0  27
47.7  24
68.3  24
71.3  11
56.9  10

=====

Repeat the third record exactly.
Starting from a DFT-relaxed cell (GGA-PBE, Alexandria), the powder diffraction line list of K2NpInCl8 was calculated for Cu Ka.
Peak positions follow from Bragg's law for the DFT cell and can differ from measured ones.

Structural model:
Cell lengths 8.375, 8.375, 8.375 Å; angles 130.08, 130.08, 73.28 degrees
Positions (direct):
K  0.000  0.000  0.000
K  0.750  0.250  0.500
Np  0.250  0.750  0.500
In  0.500  0.500  0.000
Cl  0.152  0.108  0.518
Cl  0.152  0.634  0.043
Cl  0.366  0.410  0.518
Cl  0.366  0.848  0.957
Cl  0.590  0.108  0.957
Cl  0.590  0.634  0.482
Cl  0.892  0.410  0.043
Cl  0.892  0.848  0.482

Main lines, in order of falling intensity (2θ from 10° to 80°):
two_theta  I/Imax
22.2  100
14.2  80
36.9  71
35.9  37
42.6  35
44.3  26
65.2  21
34.7  19
29.0  16
58.3  15